1.
The following is a theoretical X-ray diffraction stick pattern of ZnH16C6N2Cl4. It was derived from the GGA-PBE geometry in OQMD, using Cu Ka.

Atomic structure:
a b c (Å): 7.0589 7.0589 13.9320
angles (deg): 93.17 93.17 115.53
Element x y z (fractional)
Zn  0.0301  0.9699  0.7500
Zn  0.9699  0.0301  0.2500
H  0.1650  0.5410  0.3468
H  0.1688  0.7389  0.4331
H  0.1850  0.3196  0.4810
H  0.1909  0.6409  0.1516
H  0.1986  0.5141  0.5729
H  0.2140  0.4883  0.9883
H  0.2611  0.8312  0.0669
H  0.2820  0.3454  0.1256
H  0.3196  0.1850  0.9810
H  0.3454  0.2820  0.6256
H  0.3591  0.8091  0.3484
H  0.4588  0.4800  0.8588
H  0.4590  0.8350  0.1532
H  0.4800  0.4588  0.3588
H  0.4859  0.8014  0.9271
H  0.4883  0.2140  0.4883
H  0.5117  0.7860  0.5117
H  0.5141  0.1986  0.0729
H  0.5200  0.5412  0.6412
H  0.5410  0.1650  0.8468
H  0.5412  0.5200  0.1412
H  0.6409  0.1909  0.6516
H  0.6546  0.7180  0.3744
H  0.6804  0.8150  0.0190
H  0.7180  0.6546  0.8744
H  0.7389  0.1688  0.9331
H  0.7860  0.5117  0.0117
H  0.8014  0.4859  0.4271
H  0.8091  0.3591  0.8484
H  0.8150  0.6804  0.5190
H  0.8312  0.2611  0.5669
H  0.8350  0.4590  0.6532
C  0.2679  0.6837  0.3933
C  0.2913  0.4641  0.5258
C  0.3163  0.7321  0.1067
C  0.3579  0.5871  0.0353
C  0.4129  0.6421  0.4647
C  0.4641  0.2913  0.0258
C  0.5359  0.7087  0.9742
C  0.5871  0.3579  0.5353
C  0.6421  0.4129  0.9647
C  0.6837  0.2679  0.8933
C  0.7087  0.5359  0.4742
C  0.7321  0.3163  0.6067
N  0.4123  0.4363  0.0894
N  0.4363  0.4123  0.5894
N  0.5637  0.5877  0.4106
N  0.5877  0.5637  0.9106
Cl  0.0816  0.8190  0.8824
Cl  0.1659  0.3302  0.7777
Cl  0.1810  0.9184  0.6176
Cl  0.3302  0.1659  0.2777
Cl  0.6698  0.8341  0.7223
Cl  0.8190  0.0816  0.3824
Cl  0.8341  0.6698  0.2223
Cl  0.9184  0.1810  0.1176

Top 10 peaks for 5 to 70 degrees two-theta, by angle:
d_spacing	2θ (°)	intensity
5.971	14.84	95
4.899	18.11	76
4.523	19.63	43
4.487	19.79	100
3.745	23.76	30
3.653	24.36	44
3.156	28.27	47
3.035	29.43	78
2.996	29.82	28
2.234	40.37	40

=====

2.
The following is a theoretical X-ray diffraction stick pattern of InHg7S6Cl5. It was derived from the GGA-PBE geometry in OQMD, using Cu Ka.

Atomic structure:
a b c (Å): 7.5551 10.7694 14.0431
angles (deg): 68.62 74.43 87.00
Element x y z (fractional)
In  0.0645  0.3589  0.3223
In  0.9355  0.6411  0.6777
Hg  0.1334  0.2065  0.0610
Hg  0.1406  0.8911  0.3415
Hg  0.2052  0.3864  0.5653
Hg  0.2181  0.8665  0.0604
Hg  0.3486  0.4576  0.7739
Hg  0.3517  0.9553  0.7732
Hg  0.5000  0.0000  0.5000
Hg  0.5000  0.5000  0.0000
Hg  0.6483  0.0447  0.2268
Hg  0.6514  0.5424  0.2261
Hg  0.7819  0.1335  0.9396
Hg  0.7948  0.6136  0.4347
Hg  0.8594  0.1089  0.6585
Hg  0.8666  0.7935  0.9390
S  0.1237  0.2171  0.5098
S  0.1978  0.7708  0.9312
S  0.2824  0.5715  0.6056
S  0.3044  0.9967  0.1499
S  0.4344  0.3350  0.9356
S  0.4712  0.8826  0.3900
S  0.5288  0.1174  0.6100
S  0.5656  0.6650  0.0644
S  0.6956  0.0033  0.8501
S  0.7176  0.4285  0.3944
S  0.8022  0.2292  0.0688
S  0.8763  0.7829  0.4902
Cl  0.0448  0.4678  0.1335
Cl  0.0819  0.8592  0.6641
Cl  0.1628  0.1763  0.8336
Cl  0.2008  0.5717  0.3275
Cl  0.3913  0.2960  0.2501
Cl  0.6087  0.7040  0.7499
Cl  0.7992  0.4283  0.6725
Cl  0.8372  0.8237  0.1664
Cl  0.9181  0.1408  0.3359
Cl  0.9552  0.5322  0.8665

Top 10 peaks for 5 to 70 degrees two-theta, by angle:
d_spacing	2θ (°)	intensity
4.554	19.49	28
4.225	21.03	100
3.773	23.58	28
3.597	24.75	33
3.278	27.20	29
3.250	27.45	41
3.222	27.69	76
3.162	28.22	39
2.864	31.23	33
2.443	36.79	35

=====

3.
The following is a theoretical X-ray diffraction stick pattern of FeSi2C. It was derived from the GGA-PBE geometry in OQMD, using Cu Ka.

Atomic structure:
a b c (Å): 5.5660 5.5581 5.3997
angles (deg): 90.00 90.00 90.00
Element x y z (fractional)
Fe  0.0728  0.2500  0.0061
Fe  0.4272  0.7500  0.5061
Fe  0.5728  0.2500  0.4939
Fe  0.9272  0.7500  0.9939
Si  0.1792  0.0449  0.6485
Si  0.1792  0.4551  0.6485
Si  0.3208  0.5449  0.1485
Si  0.3208  0.9551  0.1485
Si  0.6792  0.0449  0.8515
Si  0.6792  0.4551  0.8515
Si  0.8208  0.5449  0.3515
Si  0.8208  0.9551  0.3515
C  0.0110  0.7500  0.6017
C  0.4890  0.2500  0.1017
C  0.5110  0.7500  0.8983
C  0.9890  0.2500  0.3983

Top 10 peaks for 5 to 70 degrees two-theta, by angle:
d_spacing	2θ (°)	intensity
3.876	22.95	51
2.700	33.18	25
2.488	36.09	64
2.429	37.01	48
2.259	39.92	100
1.966	46.16	52
1.937	46.91	70
1.829	49.85	48
1.713	53.51	36
1.673	54.89	65

=====

4.
The following is a theoretical X-ray diffraction stick pattern of Tb2ScCu4Ge4. It was derived from the GGA-PBE geometry in OQMD, using Cu Ka.

Atomic structure:
a b c (Å): 7.9290 7.9290 7.9290
angles (deg): 149.35 131.35 58.60
Element x y z (fractional)
Tb  0.1290  0.1290  0.0000
Tb  0.8710  0.8710  0.0000
Sc  0.5000  0.0000  0.5000
Cu  0.1381  0.3293  0.8088
Cu  0.4796  0.6707  0.8088
Cu  0.5204  0.3293  0.1912
Cu  0.8619  0.6707  0.1912
Ge  0.2009  0.5000  0.7009
Ge  0.2865  0.7865  0.5000
Ge  0.7135  0.2135  0.5000
Ge  0.7991  0.5000  0.2991

Top 10 peaks for 5 to 70 degrees two-theta, by angle:
d_spacing	2θ (°)	intensity
5.906	15.00	26
2.547	35.24	29
2.533	35.45	100
2.469	36.39	100
2.307	39.05	33
2.249	40.10	37
2.095	43.17	47
1.969	46.10	27
1.861	48.95	16
1.435	65.00	19

=====

5.
The following is a theoretical X-ray diffraction stick pattern of YSiGePd2. It was derived from the GGA-PBE geometry in OQMD, using Cu Ka.

Atomic structure:
a b c (Å): 4.2085 4.2085 10.2127
angles (deg): 90.00 90.00 90.00
Element x y z (fractional)
Y  0.2500  0.2500  0.2454
Y  0.7500  0.7500  0.7546
Si  0.2500  0.2500  0.8728
Si  0.7500  0.7500  0.1272
Ge  0.2500  0.7500  0.5000
Ge  0.7500  0.2500  0.5000
Pd  0.2500  0.2500  0.6415
Pd  0.2500  0.7500  0.0000
Pd  0.7500  0.2500  0.0000
Pd  0.7500  0.7500  0.3585

Top 10 peaks for 5 to 70 degrees two-theta, by angle:
d_spacing	2θ (°)	intensity
3.248	27.46	14
2.857	31.31	9
2.647	33.87	31
2.571	34.90	100
2.104	42.98	53
1.938	46.89	24
1.838	49.61	19
1.647	55.81	14
1.488	62.41	17
1.384	67.69	15

=====

6.
The following is a theoretical X-ray diffraction stick pattern of In2Ni3S4. It was derived from the GGA-PBE geometry in OQMD, using Cu Ka.

Atomic structure:
a b c (Å): 13.4669 12.8232 5.8013
angles (deg): 83.54 71.11 25.34
Element x y z (fractional)
In  0.0507  0.0507  0.1993
In  0.1993  0.1993  0.0507
In  0.8007  0.8007  0.9493
In  0.9493  0.9493  0.8007
Ni  0.1251  0.1251  0.6249
Ni  0.3750  0.3750  0.3750
Ni  0.3751  0.3751  0.8749
Ni  0.6249  0.6249  0.1251
Ni  0.6250  0.6250  0.6250
Ni  0.8749  0.8749  0.3751
S  0.1521  0.4823  0.2648
S  0.2648  0.6008  0.1521
S  0.3992  0.7352  0.5177
S  0.4823  0.1521  0.6008
S  0.5177  0.8479  0.3992
S  0.6008  0.2648  0.4823
S  0.7352  0.3992  0.8479
S  0.8479  0.5177  0.7352

Top 10 peaks for 5 to 70 degrees two-theta, by angle:
d_spacing	2θ (°)	intensity
6.246	14.18	79
3.540	25.16	83
3.207	27.82	89
2.908	30.75	66
2.881	31.04	79
2.512	35.75	100
2.507	35.81	99
2.376	37.87	83
2.251	40.05	88
1.602	57.51	90

=====

7.
The following is a theoretical X-ray diffraction stick pattern of LiCo6P4. It was derived from the GGA-PBE geometry in OQMD, using Cu Ka.

Atomic structure:
a b c (Å): 6.5298 6.5298 3.3120
angles (deg): 90.00 90.00 120.00
Element x y z (fractional)
Li  0.0000  0.0000  0.0000
Co  0.1997  0.3995  0.5000
Co  0.1997  0.8003  0.5000
Co  0.5361  0.0722  0.0000
Co  0.5361  0.4639  0.0000
Co  0.6005  0.8003  0.5000
Co  0.9278  0.4639  0.0000
P  0.3333  0.6667  0.0000
P  0.3669  0.1834  0.5000
P  0.8166  0.1834  0.5000
P  0.8166  0.6331  0.5000

Top 10 peaks for 5 to 70 degrees two-theta, by angle:
d_spacing	2θ (°)	intensity
5.655	15.67	61
3.265	27.32	9
2.858	31.30	32
2.325	38.73	7
2.150	42.02	100
2.137	42.28	22
1.885	48.28	35
1.796	50.84	78
1.656	55.49	23
1.632	56.36	24